Structure and calculated powder diffractogram of Al4VO7 (the GGA+U geometry in Alexandria; λ = 1.5418 Å (Cu Kα)).
No peak broadening, texture or thermal motion is included.

Cell and atoms:
Cell lengths 7.4156, 7.4156, 6.0532 Å; angles 90.00, 90.00, 59.00 degrees
Atoms (fractional coordinates):
1 Al 0.0480 0.7262 0.7500
2 Al 0.2738 0.9520 0.7500
3 Al 0.3046 0.3046 0.0000
4 Al 0.3046 0.3046 0.5000
5 Al 0.6954 0.6954 0.0000
6 Al 0.6954 0.6954 0.5000
7 Al 0.7262 0.0480 0.2500
8 Al 0.9520 0.2738 0.2500
9 V 0.2669 0.7331 0.2500
10 V 0.7331 0.2669 0.7500
11 O 0.0264 0.9736 0.7500
12 O 0.1852 0.5799 0.5137
13 O 0.1852 0.5799 0.9863
14 O 0.2086 0.2490 0.2500
15 O 0.2490 0.2086 0.7500
16 O 0.4201 0.8148 0.5137
17 O 0.4201 0.8148 0.9863
18 O 0.5799 0.1852 0.0137
19 O 0.5799 0.1852 0.4863
20 O 0.7510 0.7914 0.2500
21 O 0.7914 0.7510 0.7500
22 O 0.8148 0.4201 0.0137
23 O 0.8148 0.4201 0.4863
24 O 0.9736 0.0264 0.2500

Principal peaks in the range 10 to 90 degrees two-theta, most intense first:
2theta	I (rel.)
28.1	100
28.2	86
32.7	80
60.6	53
39.9	46
38.4	36
28.5	35
61.3	23